[1]
# MgSbS2NF6
Calculated PXRD pattern, λ = 1.5418 Å (Cu Kα). Input: a structure optimized by DFT (GGA-PBE).
Lines closer than 0.1° are merged.

Most intense lines, 10° ≤ 2θ ≤ 90°, in order of rising 2θ:
| d [Å] | Rel. int. | (hkl) |
| --- | --- | --- |
| 6.542 | 57.5 | 0 0 1 |
| 4.928 | 59.6 | 2 0 0 |
| 4.358 | 100.0 | 1 1 -1 |
| 4.225 | 42.0 | 2 0 -1 |
| 3.274 | 70.3 | 0 0 2 |
| 2.590 | 40.7 | 2 2 -1 |

Cell and atoms:
a = 9.951 Å, b = 6.555 Å, c = 6.605 Å
α = 90.00°, β = 97.91°, γ = 90.00°
Space group C2/m (No. 12)
Asymmetric unit:
1 Mg 0.000 0.000 0.000
2 Sb 0.000 0.500 0.000
3 S 0.152 0.000 0.510
4 N 0.000 0.000 0.500
5 F 0.102 0.219 0.897
6 F 0.127 0.500 0.291

=====

[2]
# MgSbS2NF6
Calculated PXRD pattern, λ = 1.5418 Å (Cu Kα). Input: a structure optimized by DFT (GGA-PBE).
Lines closer than 0.1° are merged.

Most intense lines, 10° ≤ 2θ ≤ 90°, in order of rising 2θ:
| d [Å] | Rel. int. | (hkl) |
| --- | --- | --- |
| 6.036 | 100.0 | 1 1 0 |
| 4.916 | 36.6 | 2 0 0 |
| 4.555 | 65.5 | 1 1 -1 |
| 4.341 | 30.5 | 1 1 1 |
| 3.015 | 37.5 | 3 1 0 |
| 2.832 | 31.4 | 2 0 -2 |

Cell and atoms:
a = 9.863 Å, b = 7.646 Å, c = 6.587 Å
α = 90.00°, β = 94.50°, γ = 90.00°
Space group C2 (No. 5)
Asymmetric unit:
1 Mg 0.000 0.000 0.000
2 Sb 0.000 0.928 0.500
3 S 0.141 0.500 0.107
4 N 0.000 0.491 0.000
5 F 0.098 0.879 0.219
6 F 0.123 0.103 0.834
7 F 0.128 0.751 0.613

=====

[3]
# NaMg3Si4O11F
Calculated PXRD pattern, λ = 1.5418 Å (Cu Kα). Input: a structure optimized by DFT (GGA-PBE).
Lines closer than 0.1° are merged.

Most intense lines, 10° ≤ 2θ ≤ 90°, in order of rising 2θ:
| d [Å] | Rel. int. | (hkl) |
| --- | --- | --- |
| 3.464 | 79.8 | 1 -1 1 |
| 3.285 | 56.8 | 0 2 -1 |
| 3.139 | 71.9 | 0 3 2 |
| 2.750 | 100.0 | 1 -1 2 |
| 2.532 | 74.9 | 2 2 1 |
| 2.197 | 47.8 | 1 -2 2 |

Cell and atoms:
a = 5.356 Å, b = 9.783 Å, c = 10.279 Å
α = 61.61°, β = 84.24°, γ = 77.83°
Space group P1 (No. 1)
Asymmetric unit:
1 Na 0.000 0.000 0.000
2 Na 0.499 0.772 0.457
3 Mg 0.000 0.323 0.354
4 Mg 0.000 0.502 0.996
5 Mg 0.000 0.682 0.637
6 Mg 0.499 0.592 0.817
7 Mg 0.500 0.243 0.515
8 Mg 0.500 0.413 0.174
9 Si 0.215 0.618 0.342
10 Si 0.222 0.965 0.657
11 Si 0.272 0.303 0.825
12 Si 0.280 0.136 0.166
13 Si 0.719 0.699 0.166
14 Si 0.727 0.872 0.826
15 Si 0.777 0.379 0.656
16 Si 0.784 0.040 0.341
17 O 0.049 0.273 0.748
18 O 0.055 0.032 0.246
19 O 0.205 0.612 0.499
20 O 0.212 0.305 0.167
21 O 0.213 0.471 0.829
22 O 0.227 0.126 0.503
23 O 0.276 0.792 0.664
24 O 0.285 0.444 0.345
25 O 0.287 0.156 0.997
26 O 0.438 0.724 0.239
27 O 0.454 0.979 0.748
28 O 0.545 0.274 0.746
29 O 0.561 0.037 0.239
30 O 0.713 0.848 0.997
31 O 0.715 0.212 0.344
32 O 0.722 0.545 0.664
33 O 0.773 0.372 0.502
34 O 0.786 0.700 0.829
35 O 0.788 0.528 0.167
36 O 0.795 0.890 0.499
37 O 0.944 0.721 0.247
38 O 0.949 0.979 0.749
39 F 0.295 0.603 0.000
40 F 0.704 0.397 0.000

=====

[4]
# MgNb2O4F2
Calculated PXRD pattern, λ = 1.5418 Å (Cu Kα). Input: a structure optimized by DFT (GGA-PBE).
Lines closer than 0.1° are merged.

Most intense lines, 10° ≤ 2θ ≤ 90°, in order of rising 2θ:
| d [Å] | Rel. int. | (hkl) |
| --- | --- | --- |
| 4.042 | 100.0 | 0 1 -1 |
| 3.957 | 90.2 | 1 0 0 |
| 3.780 | 97.2 | -1 1 1 |
| 2.896 | 48.8 | 1 -1 1 |
| 2.865 | 41.9 | 0 1 1 |
| 2.830 | 36.3 | 1 0 -2 |

Cell and atoms:
a = 5.244 Å, b = 5.408 Å, c = 5.700 Å
α = 93.67°, β = 115.88°, γ = 117.44°
Space group P1 (No. 1)
Asymmetric unit:
1 Mg 0.000 0.000 0.000
2 Nb 0.395 0.670 0.105
3 Nb 0.469 0.250 0.612
4 O 0.312 0.899 0.309
5 O 0.506 0.465 0.351
6 O 0.563 0.614 0.859
7 O 0.921 0.310 0.858
8 F 0.256 0.968 0.831
9 F 0.918 0.077 0.321